[1]
Theoretical powder diffraction line list
Compound: Sr2TbHfO6
Radiation: Cu Ka
Structure: a DFT-relaxed cell (PBE, the Materials Project)
No peak broadening, texture or thermal motion is included.

Top 10 peaks for 15 to 90 degrees two-theta, low angle first:
hkl  d/Å  2θ (°)  I/Imax
2 0 0  4.282  20.7  19
2 2 0  3.028  29.5  100
4 0 0  2.141  42.2  30
4 2 0  1.915  47.5  8
4 2 2  1.748  52.3  41
4 4 0  1.514  61.2  19
6 0 0  1.427  65.4  4
6 2 0  1.354  69.4  18
4 4 4  1.236  77.2  6
6 4 2  1.144  84.7  22

Unit cell a=8.563 b=8.563 c=8.563 alpha=90.00 beta=90.00 gamma=90.00
Space group Fm-3m (No. 225)
Inequivalent atoms, fractional coordinates:
Sr: 0.250 0.250 0.250 x8
Tb: 0.000 0.000 0.000 x4
Hf: 0.000 0.000 0.500 x4
O: 0.000 0.000 0.259 x24



[2]
Theoretical powder diffraction line list
Compound: SiO2
Radiation: Cu Ka
Structure: a DFT-relaxed cell (PBE, the Materials Project)
No peak broadening, texture or thermal motion is included.

Top 10 peaks for 15 to 90 degrees two-theta, low angle first:
hkl  d/Å  2θ (°)  I/Imax
0 2 2  5.674  15.6  35
1 3 1  4.595  19.3  55
0 4 1  4.505  19.7  39
0 2 3  4.224  21.0  40
1 3 2  4.004  22.2  55
0 4 2  3.944  22.5  40
0 0 4  3.536  25.2  74
2 2 0  3.515  25.3  100
2 2 1  3.412  26.1  54
0 4 3  3.347  26.6  61

Unit cell a=7.567 b=19.009 c=14.144 alpha=90.00 beta=90.00 gamma=90.00
Space group Cmcm (No. 63)
Inequivalent atoms, fractional coordinates:
Si: 0.000 0.080 0.040 x8
Si: 0.000 0.140 0.250 x4
Si: 0.204 0.238 0.750 x8
Si: 0.207 0.324 0.051 x16
O: 0.000 0.000 0.000 x4
O: 0.000 0.089 0.156 x8
O: 0.000 0.265 0.750 x4
O: 0.000 0.344 0.041 x8
O: 0.173 0.192 0.250 x8
O: 0.179 0.115 0.502 x16
O: 0.241 0.186 0.661 x16
O: 0.250 0.250 0.000 x8